The following is a theoretical powder X-ray diffraction pattern of Pm6Y2Tm. It was derived from DFT lattice parameters and positions (GGA-PBE), using Cu Kα X-rays.
Peak positions follow from Bragg's law for the DFT cell and can differ from measured ones.

Main lines, in order of rising 2θ (15 to 90 degrees two-theta):
Position (°2θ)	Rel. int.	h k l
29.00	710	3 1 0
30.26	1000	1 3 1
30.43	692	0 6 0
32.61	652	2 2 1
37.21	406	2 4 1
38.48	345	3 5 0
40.91	217	3 3 1
57.34	331	5 3 1
58.57	195	3 1 2
59.41	206	0 6 2

Crystal structure
```
data_Pm6Y2Tm
_space_group_name_H-M_alt 'C m m m'
_space_group_IT_number 65
_space_group_name_Hall '-C 2 2'
_cell_length_a 9.3826
_cell_length_b 17.6223
_cell_length_c 3.6686
_cell_angle_alpha 90.00
_cell_angle_beta 90.00
_cell_angle_gamma 90.00
loop_
_atom_site_label
_atom_site_type_symbol
_atom_site_fract_x
_atom_site_fract_y
_atom_site_fract_z
Pm1 Pm 0.1755 0.1648 0.0000
Pm2 Pm 0.1861 0.0000 0.5000
Y1 Y 0.0000 0.3238 0.5000
Tm1 Tm 0.0000 0.5000 0.0000
```

The following is a theoretical powder X-ray diffraction pattern of CeMg14Mn. It was derived from DFT lattice parameters and positions (GGA-PBE), using Cu Kα X-rays.
Peak positions follow from Bragg's law for the DFT cell and can differ from measured ones.

Main lines, in order of rising 2θ (15 to 90 degrees two-theta):
Position (°2θ)	Rel. int.	h k l
15.41	223	0 0 2
17.64	314	1 0 2
32.95	384	0 2 2
34.63	438	4 0 0
35.72	708	2 0 4
37.36	1000	2 2 2
48.55	246	4 2 2
56.52	182	0 2 6
63.86	185	6 2 2
68.01	196	4 2 6

Crystal structure
```
data_CeMg14Mn
_space_group_name_H-M_alt 'A m m 2'
_space_group_IT_number 38
_cell_length_a 10.3612
_cell_length_b 6.1703
_cell_length_c 11.5003
_cell_angle_alpha 90.00
_cell_angle_beta 90.00
_cell_angle_gamma 90.00
loop_
_space_group_symop_operation_xyz
'x,y,z'
'-x,-y,z'
'-x,y,z'
'x,-y,z'
'x,y+1/2,z+1/2'
'-x,-y+1/2,z+1/2'
'-x,y+1/2,z+1/2'
'x,-y+1/2,z+1/2'
loop_
_atom_site_label
_atom_site_type_symbol
_atom_site_fract_x
_atom_site_fract_y
_atom_site_fract_z
Ce1 Ce 0.0000 0.0000 0.0000
Mg1 Mg 0.0000 0.2451 0.2491
Mg2 Mg 0.2282 0.0000 0.6373
Mg3 Mg 0.2510 0.2484 0.3961
Mg4 Mg 0.2616 0.0000 0.1506
Mg5 Mg 0.5000 0.0000 0.4878
Mg6 Mg 0.5000 0.0000 0.9846
Mg7 Mg 0.5000 0.2455 0.7362
Mn1 Mn 0.0000 0.0000 0.4773
```

The following is a theoretical powder X-ray diffraction pattern of Ir3Ru2Rh5. It was derived from DFT lattice parameters and positions (GGA-PBE), using Cu Kα X-rays.
Peak positions follow from Bragg's law for the DFT cell and can differ from measured ones.

Main lines, in order of rising 2θ (15 to 90 degrees two-theta):
Position (°2θ)	Rel. int.	h k l
39.02	195	3 1 -1
40.16	1000	1 1 -2
40.46	654	6 0 -2
40.70	666	4 0 2
44.76	496	2 0 -4
46.90	174	5 1 -1
48.03	575	5 1 0
67.57	181	7 1 -4
67.90	214	3 1 4
79.38	206	8 0 -6

Crystal structure
```
data_Ir3Ru2Rh5
_space_group_name_H-M_alt 'C 1 2/m 1'
_space_group_IT_number 12
_cell_length_a 13.9271
_cell_length_b 2.6984
_cell_length_c 8.0994
_cell_angle_alpha 90.00
_cell_angle_beta 107.26
_cell_angle_gamma 90.00
loop_
_space_group_symop_operation_xyz
'x,y,z'
'-x,-y,-z'
'-x,y,-z'
'x,-y,z'
'x+1/2,y+1/2,z'
'-x+1/2,-y+1/2,-z'
'-x+1/2,y+1/2,-z'
'x+1/2,-y+1/2,z'
loop_
_atom_site_label
_atom_site_type_symbol
_atom_site_fract_x
_atom_site_fract_y
_atom_site_fract_z
Ir1 Ir 0.0000 0.0000 0.0000
Ir2 Ir 0.1002 0.5000 0.8175
Ru1 Ru 0.1853 0.0000 0.5946
Rh1 Rh 0.0000 0.5000 0.5000
Rh2 Rh 0.1091 0.5000 0.2915
Rh3 Rh 0.2052 0.0000 0.1051
```

The following is a theoretical powder X-ray diffraction pattern of NaLiPbI4. It was derived from DFT lattice parameters and positions (GGA-PBE), using Cu Kα X-rays.
Peak positions follow from Bragg's law for the DFT cell and can differ from measured ones.

Main lines, in order of rising 2θ (15 to 90 degrees two-theta):
Position (°2θ)	Rel. int.	h k l
22.50	184	1 2 1
23.49	141	0 2 2
23.82	139	2 0 2
27.38	1000	0 0 4
38.68	135	0 4 0
39.12	527	2 2 4
48.05	141	0 4 4
48.76	136	4 0 4
56.51	134	0 0 8
63.92	240	2 2 8

Crystal structure
```
data_NaLiPbI4
_space_group_name_H-M_alt 'I m m a'
_space_group_IT_number 74
_space_group_name_Hall '-I 2b 2'
_cell_length_a 9.1222
_cell_length_b 9.3109
_cell_length_c 13.0207
_cell_angle_alpha 90.00
_cell_angle_beta 90.00
_cell_angle_gamma 90.00
loop_
_atom_site_label
_atom_site_type_symbol
_atom_site_fract_x
_atom_site_fract_y
_atom_site_fract_z
Na1 Na 0.2500 0.2500 0.2500
Li1 Li 0.0000 0.2500 0.6418
Pb1 Pb 0.0000 0.0000 0.0000
I1 I 0.0000 0.0068 0.2490
I2 I 0.2470 0.2500 0.5008
```

The following is a theoretical powder X-ray diffraction pattern of Tm3Co4B. It was derived from DFT lattice parameters and positions (GGA-PBE), using Cu Kα X-rays.
Peak positions follow from Bragg's law for the DFT cell and can differ from measured ones.

Main lines, in order of rising 2θ (15 to 90 degrees two-theta):
Position (°2θ)	Rel. int.	h k l
32.50	279	1 1 2
35.18	1000	1 2 1
35.98	305	2 0 0
36.39	516	0 2 2
39.47	620	1 0 3
40.49	275	2 1 1
43.19	249	2 0 2
48.92	193	1 2 3
52.11	217	2 2 2
68.07	310	2 2 4

Crystal structure
```
data_Tm3Co4B
_space_group_name_H-M_alt 'I m m 2'
_space_group_IT_number 44
_cell_length_a 4.9926
_cell_length_b 6.4333
_cell_length_c 7.7010
_cell_angle_alpha 90.00
_cell_angle_beta 90.00
_cell_angle_gamma 90.00
loop_
_space_group_symop_operation_xyz
'x,y,z'
'-x,-y,z'
'-x,y,z'
'x,-y,z'
'x+1/2,y+1/2,z+1/2'
'-x+1/2,-y+1/2,z+1/2'
'-x+1/2,y+1/2,z+1/2'
'x+1/2,-y+1/2,z+1/2'
loop_
_atom_site_label
_atom_site_type_symbol
_atom_site_fract_x
_atom_site_fract_y
_atom_site_fract_z
Tm1 Tm 0.0000 0.0000 0.0000
Tm2 Tm 0.0000 0.2365 0.6278
Co1 Co 0.0000 0.3212 0.2800
Co2 Co 0.2448 0.0000 0.3580
B1 B 0.0000 0.5000 0.0595
```

The following is a theoretical powder X-ray diffraction pattern of Dy2S2Cl. It was derived from DFT lattice parameters and positions (GGA-PBE), using Cu Kα X-rays.
Peak positions follow from Bragg's law for the DFT cell and can differ from measured ones.

Main lines, in order of rising 2θ (15 to 90 degrees two-theta):
Position (°2θ)	Rel. int.	h k l
21.74	278	4 0 0
23.54	751	2 0 -1
28.21	735	3 1 0
32.60	1000	1 1 -1
32.87	476	6 0 0
39.53	240	5 1 -1
45.30	217	8 0 -1
46.90	519	0 2 0
47.01	340	7 1 -1
58.39	264	6 2 0

Crystal structure
```
data_Dy2S2Cl
_space_group_name_H-M_alt 'C 1 2/m 1'
_space_group_IT_number 12
_cell_length_a 16.7976
_cell_length_b 3.8781
_cell_length_c 3.8919
_cell_angle_alpha 90.00
_cell_angle_beta 103.27
_cell_angle_gamma 90.00
loop_
_space_group_symop_operation_xyz
'x,y,z'
'-x,-y,-z'
'-x,y,-z'
'x,-y,z'
'x+1/2,y+1/2,z'
'-x+1/2,-y+1/2,-z'
'-x+1/2,y+1/2,-z'
'x+1/2,-y+1/2,z'
loop_
_atom_site_label
_atom_site_type_symbol
_atom_site_fract_x
_atom_site_fract_y
_atom_site_fract_z
Dy1 Dy 0.1617 0.0000 0.1625
S1 S 0.1670 0.5000 0.6678
Cl1 Cl 0.0000 0.0000 0.0000
```